This entry pairs a crystal structure of NbV12Mo6 with its theoretical X-ray powder pattern. Radiation: λ = 1.5418 Å (Cu Kα). Structure: a crystal structure in Alexandria, relaxed with PBE.
Intensities are scaled so that the largest is 100.

Largest 12 diffraction maxima, sorted by position, 10° ≤ 2θ ≤ 80°:
index  two_theta  I/Imax
1 2 -3  39.0  37
1 -1 3  40.7  100
2 1 0  41.0  38
0 2 2  41.1  52
-2 1 2  41.4  37
1 4 -1  57.7  11
1 0 -5  58.2  12
3 -2 1  60.7  13
2 -4 4  73.9  6
1 1 5  74.5  13
-1 5 1  74.8  7
3 0 3  75.5  7

Structural model:
a b c (Å): 5.100 7.109 8.346
angles (deg): 107.70 101.30 95.15
Atoms (fractional coordinates):
1 Nb 0.000 0.000 0.000
2 V 0.017 0.135 0.376
3 V 0.168 0.654 0.834
4 V 0.212 0.548 0.445
5 V 0.277 0.453 0.060
6 V 0.377 0.944 0.562
7 V 0.447 0.116 0.898
8 V 0.553 0.884 0.102
9 V 0.623 0.056 0.438
10 V 0.723 0.547 0.940
11 V 0.788 0.452 0.555
12 V 0.832 0.346 0.166
13 V 0.983 0.865 0.624
14 Mo 0.114 0.775 0.221
15 Mo 0.336 0.333 0.672
16 Mo 0.405 0.245 0.261
17 Mo 0.595 0.755 0.739
18 Mo 0.664 0.667 0.328
19 Mo 0.886 0.225 0.779